Diffraction record for LaS4O12. The X-ray diffraction stick pattern is calculated, not measured: it uses a cell relaxed with GGA-PBE and Cu Kα.
Lines closer than 0.1° are merged.

Structural model:
```
data_LaS4O12
_space_group_name_H-M_alt 'I m -3'
_space_group_IT_number 204
_space_group_name_Hall '-I 2 2 3'
_cell_length_a 7.090
_cell_length_b 7.090
_cell_length_c 7.090
_cell_angle_alpha 90.00
_cell_angle_beta 90.00
_cell_angle_gamma 90.00
loop_
_atom_site_label
_atom_site_type_symbol
_atom_site_fract_x
_atom_site_fract_y
_atom_site_fract_z
La1 La 0.000 0.000 0.000
S1 S 0.250 0.250 0.250
O1 O 0.000 0.201 0.290
```

The 10 most intense peaks (2θ = 10–80°), most intense first:
2θ/deg  I (rel.)
17.69  100
30.90  45
48.02  41
35.83  38
40.23  35
51.57  22
64.38  22
67.35  17
54.95  13
75.92  10

=====

Diffraction record for LaSbSO2. The X-ray diffraction stick pattern is calculated, not measured: it uses a cell relaxed with GGA-PBE and Cu Kα.
Lines closer than 0.1° are merged.

Structural model:
```
data_LaSbSO2
_space_group_name_H-M_alt 'P 1 21/m 1'
_space_group_IT_number 11
_cell_length_a 6.620
_cell_length_b 4.124
_cell_length_c 7.705
_cell_angle_alpha 90.00
_cell_angle_beta 104.91
_cell_angle_gamma 90.00
loop_
_space_group_symop_operation_xyz
'x,y,z'
'-x,-y,-z'
'-x,y+1/2,-z'
'x,-y+1/2,z'
loop_
_atom_site_label
_atom_site_type_symbol
_atom_site_fract_x
_atom_site_fract_y
_atom_site_fract_z
La1 La 0.211 0.250 0.430
Sb1 Sb 0.171 0.250 0.913
S1 S 0.422 0.750 0.692
O1 O 0.015 0.750 0.345
O2 O 0.029 0.750 0.909
```

The 10 most intense peaks (2θ = 10–80°), most intense first:
2θ/deg  I (rel.)
25.70  100
31.85  50
32.40  48
30.74  45
13.84  41
32.76  33
35.52  31
43.91  25
48.70  24
47.41  22